Diffraction record for La2Co2O5. The powder diffraction line list is calculated, not measured: it uses a cell relaxed with GGA+U and CuKα.

Top 10 peaks for 2θ from 15° to 90°, in order of rising 2θ:
hkl  Position (°2θ)  I_rel
1 0 1  22.6  19.1
0 0 2  31.2  31.6
1 4 1  32.2  100.0
2 0 0  33.0  32.0
1 6 1  41.4  12.8
2 0 2  46.0  27.7
0 8 0  46.3  11.9
1 4 3  56.1  22.3
3 4 1  58.4  17.5
2 8 2  67.3  10.6

Crystal structure
Cell: 5.429 15.690 5.735 Å, 90.00 90.00 90.00°
Space group Pnma (No. 62)
One atom of each set of equivalent atoms:
1 La 0.012 0.111 0.019 (multiplicity 8)
2 Co 0.000 0.000 0.500 (multiplicity 4)
3 Co 0.043 0.250 0.558 (multiplicity 4)
4 O 0.035 0.641 0.582 (multiplicity 8)
5 O 0.086 0.750 0.115 (multiplicity 4)
6 O 0.241 0.518 0.241 (multiplicity 8)



Diffraction record for La4Co4O11. The powder diffraction line list is calculated, not measured: it uses a cell relaxed with GGA+U and CuKα.

Top 10 peaks for 2θ from 15° to 90°, in order of rising 2θ:
hkl  Position (°2θ)  I_rel
1 0 -1  22.8  10.6
0 0 2  32.3  17.2
1 2 -1  32.7  100.0
2 0 -2  46.5  10.5
2 0 2  46.7  10.0
0 4 0  47.1  10.7
3 2 -1  58.2  15.9
3 2 1  58.3  8.5
2 4 0  58.5  8.1
4 0 0  68.4  8.3

Crystal structure
Cell: 5.484 7.722 5.539 Å, 90.00 90.20 90.00°
Space group Pm (No. 6)
One atom of each set of equivalent atoms:
1 La 0.000 0.000 0.000 (multiplicity 1)
2 La 0.014 0.500 0.933 (multiplicity 1)
3 La 0.489 0.500 0.433 (multiplicity 1)
4 La 0.513 0.000 0.509 (multiplicity 1)
5 Co 0.000 0.255 0.467 (multiplicity 2)
6 Co 0.511 0.247 0.968 (multiplicity 2)
7 O 0.216 0.280 0.199 (multiplicity 2)
8 O 0.280 0.280 0.677 (multiplicity 2)
9 O 0.429 0.000 0.955 (multiplicity 1)
10 O 0.586 0.500 0.985 (multiplicity 1)
11 O 0.744 0.194 0.256 (multiplicity 2)
12 O 0.800 0.191 0.731 (multiplicity 2)
13 O 0.910 0.500 0.499 (multiplicity 1)



Diffraction record for La5CoRe3O16. The powder diffraction line list is calculated, not measured: it uses a cell relaxed with GGA+U and CuKα.

Top 10 peaks for 2θ from 15° to 90°, in order of rising 2θ:
hkl  Position (°2θ)  I_rel
0 1 1  18.5  32.2
0 1 -2  23.0  20.7
1 -1 2  28.4  88.1
1 1 2  29.9  67.6
0 2 0  31.8  100.0
1 1 -3  33.5  34.1
-1 1 3  34.8  23.0
0 0 5  44.9  21.8
2 -2 0  45.2  36.9
3 -1 2  55.2  24.5

Crystal structure
Cell: 5.631 5.642 10.120 Å, 93.54 93.32 90.67°
Space group P-1 (No. 2)
One atom of each set of equivalent atoms:
1 La 0.000 0.000 0.000 (multiplicity 1)
2 La 0.035 0.509 0.706 (multiplicity 2)
3 La 0.486 0.972 0.300 (multiplicity 2)
4 Co 0.500 0.500 0.500 (multiplicity 1)
5 Re 0.000 0.000 0.500 (multiplicity 1)
6 Re 0.445 0.445 0.106 (multiplicity 2)
7 O 0.068 0.076 0.685 (multiplicity 2)
8 O 0.181 0.289 0.465 (multiplicity 2)
9 O 0.217 0.696 0.133 (multiplicity 2)
10 O 0.223 0.217 0.177 (multiplicity 2)
11 O 0.296 0.774 0.864 (multiplicity 2)
12 O 0.303 0.811 0.500 (multiplicity 2)
13 O 0.310 0.303 0.932 (multiplicity 2)
14 O 0.456 0.452 0.698 (multiplicity 2)



Diffraction record for La2Co2S2O3. The powder diffraction line list is calculated, not measured: it uses a cell relaxed with GGA+U and CuKα.

Top 10 peaks for 2θ from 15° to 90°, in order of rising 2θ:
hkl  Position (°2θ)  I_rel
1 0 3  26.8  100.0
0 0 6  30.3  26.8
1 1 0  31.4  23.6
1 1 2  33.0  51.7
1 0 5  33.7  91.2
1 1 4  37.5  41.8
2 0 0  45.0  56.5
1 1 8  52.3  43.6
2 1 3  53.1  31.2
2 1 5  57.4  37.1

Crystal structure
Cell: 4.029 4.029 17.723 Å, 90.00 90.00 90.00°
Space group I4/mmm (No. 139)
One atom of each set of equivalent atoms:
1 La 0.000 0.000 0.180 (multiplicity 4)
2 Co 0.000 0.500 0.000 (multiplicity 4)
3 S 0.000 0.000 0.407 (multiplicity 4)
4 O 0.000 0.000 0.000 (multiplicity 2)
5 O 0.000 0.500 0.250 (multiplicity 4)